Simulated XRD peak list
Compound: Ac2PrRh
Radiation: Cu Kα (λ = 1.5418 Å)
Structure: a structure optimized by DFT (GGA-PBE)
Intensities are scaled so that the largest is 100.

Most intense lines, 5° ≤ 2θ ≤ 70°, low angle first:
(hkl)  Position (°2θ)  intensity
0 2 0  26.14  28
2 1 0  28.16  52
1 1 3  28.43  100
2 2 0  36.40  16
1 2 3  36.61  33
3 0 3  43.99  29
0 0 6  44.54  14
1 3 3  47.56  26
3 2 3  51.89  18
2 1 6  53.53  19

Cell and atoms:
```
data_Ac2PrRh
_cell_length_a 7.158
_cell_length_b 6.817
_cell_length_c 12.206
_cell_angle_alpha 90.00
_cell_angle_beta 90.00
_cell_angle_gamma 90.00
_space_group_name_H-M_alt 'P n n a'
_space_group_IT_number 52
_space_group_name_Hall '-P 2a 2bc'
loop_
_atom_site_label
_atom_site_fract_x
_atom_site_fract_y
_atom_site_fract_z
_atom_site_occupancy
Ac1 0.087 0.249 0.083 1
Pr1 0.076 0.250 0.750 1
Rh1 0.250 0.000 0.592 1
```